(1)
This entry pairs a crystal structure of In2IrOs with its simulated X-ray diffraction stick pattern. Radiation: copper Kα. Structure: DFT lattice parameters and positions (GGA-PBE).
Lines closer than 0.1° are merged.

Structure:
Unit cell a=3.0306 b=3.0306 c=26.3403 alpha=90.00 beta=90.00 gamma=120.00
Space group R-3m (No. 166, hexagonal axes)
Asymmetric unit:
In 0.0000 0.0000 0.2493
Ir 0.0000 0.0000 0.5000
Os 0.0000 0.0000 0.0000

Main lines, low angle first (2θ = 10–90°):
d [Å], 2θ (°), intensity, index
2.438, 36.87, 100, 1 0 4
2.195, 41.12, 25, 0 0 12
2.052, 44.13, 60, 0 1 8
1.515, 61.16, 23, 1 1 0
1.395, 67.12, 17, 1 0 16
1.287, 73.60, 13, 0 2 4
1.247, 76.37, 24, 1 1 12
1.219, 78.45, 11, 2 0 8

(2)
This entry pairs a crystal structure of RbSeF with its simulated X-ray diffraction stick pattern. Radiation: copper Kα. Structure: DFT lattice parameters and positions (GGA-PBE).
Lines closer than 0.1° are merged.

Structure:
Unit cell a=4.071 b=4.582 c=9.819 alpha=83.83 beta=88.59 gamma=65.97
Space group P1 (No. 1)
Asymmetric unit:
Rb 0.000 0.000 0.000
Rb 0.302 0.393 0.315
Se 0.021 0.903 0.615
Se 0.648 0.652 0.710
F 0.318 0.405 0.919
F 0.621 0.792 0.231

Main lines, low angle first (2θ = 10–90°):
d [Å], 2θ (°), intensity, index
3.688, 24.13, 45, 0 1 -1
3.452, 25.81, 30, 1 1 1
3.348, 26.63, 100, 0 1 2
3.253, 27.42, 62, 0 0 3
2.928, 30.54, 52, 1 0 2
2.799, 31.98, 37, 1 1 -2
2.339, 38.48, 35, 1 -1 0
2.033, 44.57, 29, 2 1 0